Pb3WO6: computed XRD peak list (Cu Kα X-rays), based on DFT lattice parameters and positions (GGA+U).

Cell and atoms:
Cell lengths 8.087, 9.582, 9.715 Å; angles 90.00, 92.53, 90.00 degrees
Positions (direct):
Pb1 0.003 0.177 0.488
Pb2 0.003 0.323 0.988
Pb3 0.253 0.533 0.736
Pb4 0.253 0.967 0.236
Pb5 0.281 0.008 0.799
Pb6 0.281 0.492 0.299
Pb7 0.719 0.508 0.701
Pb8 0.719 0.992 0.201
Pb9 0.747 0.033 0.764
Pb10 0.747 0.467 0.264
Pb11 0.997 0.677 0.012
Pb12 0.997 0.823 0.512
W1 0.473 0.674 0.038
W2 0.473 0.826 0.538
W3 0.527 0.174 0.462
W4 0.527 0.326 0.962
O1 0.032 0.009 0.660
O2 0.032 0.491 0.160
O3 0.254 0.645 0.936
O4 0.254 0.855 0.436
O5 0.318 0.164 0.362
O6 0.318 0.336 0.862
O7 0.339 0.701 0.192
O8 0.339 0.799 0.692
O9 0.451 0.055 0.617
O10 0.451 0.445 0.117
O11 0.498 0.649 0.482
O12 0.498 0.851 0.982
O13 0.502 0.149 0.018
O14 0.502 0.351 0.518
O15 0.549 0.555 0.883
O16 0.549 0.945 0.383
O17 0.661 0.201 0.308
O18 0.661 0.299 0.808
O19 0.682 0.664 0.138
O20 0.682 0.836 0.638
O21 0.746 0.145 0.564
O22 0.746 0.355 0.064
O23 0.968 0.509 0.840
O24 0.968 0.991 0.340

Largest 8 diffraction maxima, most intense first, 15° ≤ 2θ ≤ 90°:
2theta  Rel. int.  (hkl)
29.4  100  2 0 2
26.1  96  0 2 2
28.9  73  2 2 0
28.1  69  2 0 -2
26.0  29  2 1 1
46.4  26  2 3 3
29.1  23  0 1 3
44.9  19  4 0 0